Diffraction record for CsGa2CuTe4. The X-ray powder pattern is calculated, not measured: it uses the GGA-PBE geometry in Alexandria and Cu Kα (λ = 1.5418 Å).
Lines closer than 0.1° are merged.

Principal peaks in the range 10° ≤ 2θ ≤ 90°, in order of rising 2θ:
d/Å  I/Imax  h k l
6.735  24  0 1 1
3.664  100  1 1 2
3.532  72  1 2 1
3.367  16  0 2 2
3.121  33  0 1 3
2.705  40  2 2 0
2.262  27  1 1 4
2.114  19  1 4 1
1.991  18  3 1 2
1.866  32  2 3 3
1.854  17  3 0 3
1.661  18  0 0 6

Structure:
abc: 6.7106 9.1408 9.9603
angles: 90.00 90.00 90.00
Space group I222 (No. 23)
Symmetry-distinct sites (fractional):
Cs 0.0000 0.0000 0.0000 (multiplicity 2)
Ga 0.0000 0.5000 0.1529 (multiplicity 4)
Cu 0.0000 0.0000 0.5000 (multiplicity 2)
Te 0.2116 0.1702 0.3375 (multiplicity 8)